Record 1
For Ac5Nd5Ge6, DFT lattice parameters and positions (PBE) gives the calculated powder XRD pattern in this record (Cu Kα (λ = 1.5418 Å)).
Kinematic intensities with the Lorentz-polarization factor, no thermal factor.

Structure:
abc: 6.8695 15.8072 9.2094
angles: 90.00 90.00 90.00
Space group Amm2 (No. 38)
Asymmetric unit:
Ac  0.0000  0.0000  0.0000 x2
Ac  0.0000  0.1248  0.6228 x4
Ac  0.5000  0.1257  0.8731 x4
Nd  0.2512  0.1648  0.2493 x8
Nd  0.5000  0.0000  0.4922 x2
Ge  0.0000  0.0000  0.3512 x2
Ge  0.0000  0.1993  0.9470 x4
Ge  0.5000  0.0000  0.1510 x2
Ge  0.5000  0.1925  0.5461 x4

Main lines, by angle (2θ from 10° to 80°):
2θ/deg	Rel. int.
23.37	140
25.94	158
28.31	224
29.84	176
32.47	466
32.61	1000
33.79	213
50.08	179
52.06	116
53.21	150

***

Record 2
For Ac4NdGe4, DFT lattice parameters and positions (PBE) gives the calculated powder XRD pattern in this record (Cu Kα (λ = 1.5418 Å)).
Kinematic intensities with the Lorentz-polarization factor, no thermal factor.

Structure:
abc: 9.5667 9.5667 6.4885
angles: 90.00 90.00 90.00
Space group P4_2/n (No. 86, origin choice 2)
Asymmetric unit:
Ac  0.0463  0.6766  0.1170 x8
Nd  0.2500  0.2500  0.2500 x2
Ge  0.0056  0.6232  0.6024 x8

Main lines, by angle (2θ from 10° to 80°):
2θ/deg	Rel. int.
23.10	296
24.93	665
29.06	536
29.53	1000
32.66	210
34.70	448
42.25	294
44.09	363
48.22	278
49.68	237

***

Record 3
For Ac2NdNi3Ge4, DFT lattice parameters and positions (PBE) gives the calculated powder XRD pattern in this record (Cu Kα (λ = 1.5418 Å)).
Kinematic intensities with the Lorentz-polarization factor, no thermal factor.

Structure:
abc: 4.3593 4.3593 11.2060
angles: 90.00 90.00 90.00
Space group P-4m2 (No. 115)
Asymmetric unit:
Ac  0.0000  0.5000  0.2222 x2
Nd  0.0000  0.0000  0.5000 x1
Ni  0.0000  0.5000  0.8937 x2
Ni  0.5000  0.5000  0.5000 x1
Ge  0.0000  0.0000  0.0000 x1
Ge  0.0000  0.5000  0.6748 x2
Ge  0.5000  0.5000  0.0000 x1

Main lines, by angle (2θ from 10° to 80°):
2θ/deg	Rel. int.
21.88	210
28.97	133
31.54	385
33.17	1000
38.19	239
41.43	460
52.98	181
57.60	164
60.03	153
70.33	229

***

Record 4
For Ac2NdGe2Pd7, DFT lattice parameters and positions (PBE) gives the calculated powder XRD pattern in this record (Cu Kα (λ = 1.5418 Å)).
Kinematic intensities with the Lorentz-polarization factor, no thermal factor.

Structure:
abc: 6.0912 6.0150 14.0576
angles: 90.00 97.61 90.00
Space group C2/m (No. 12)
Asymmetric unit:
Ac  0.1024  0.0000  0.3519 x4
Nd  0.0000  0.0000  0.0000 x2
Ge  0.0768  0.5000  0.2431 x4
Pd  0.0000  0.5000  0.0000 x2
Pd  0.1159  0.5000  0.4248 x4
Pd  0.2028  0.2512  0.8491 x8

Main lines, by angle (2θ from 10° to 80°):
2θ/deg	Rel. int.
27.04	349
29.72	530
33.18	423
33.89	605
34.75	401
35.56	1000
42.31	741
42.43	413
42.56	353
61.70	367